NaMg2F4: calculated powder diffractogram (CuKα), based on a cell relaxed with GGA-PBE.
Lines closer than 0.1° are merged.

Lattice parameters (Å, degrees): 5.6004 5.6004 10.4780 90.00 90.00 145.92
Sites, in units of the cell vectors:
Na  0.0934  0.9066  0.7500
Na  0.9066  0.0934  0.2500
Mg  0.3661  0.6339  0.5682
Mg  0.3661  0.6339  0.9318
Mg  0.6339  0.3661  0.0682
Mg  0.6339  0.3661  0.4318
F  0.0000  0.0000  0.0000
F  0.0000  0.0000  0.5000
F  0.2505  0.7495  0.0997
F  0.2505  0.7495  0.4003
F  0.4286  0.5714  0.7500
F  0.5714  0.4286  0.2500
F  0.7495  0.2505  0.5997
F  0.7495  0.2505  0.9003

Peak list (12 most intense, 2θ from 10° to 80°, low angle first)
two_theta, d/Å, Rel. int.
16.92, 5.239, 12
18.61, 4.768, 9
30.56, 2.925, 33
37.21, 2.416, 17
38.23, 2.354, 100
41.14, 2.194, 28
52.39, 1.746, 10
52.51, 1.743, 12
54.04, 1.697, 9
56.03, 1.641, 19
57.78, 1.596, 29
58.28, 1.583, 13

SrCuRuO6: calculated powder diffractogram (CuKα), based on a cell relaxed with GGA-PBE.
Lines closer than 0.1° are merged.

Lattice parameters (Å, degrees): 5.1385 5.1385 5.2672 92.56 92.56 115.61
Sites, in units of the cell vectors:
Sr  0.0000  0.0000  0.0000
Cu  0.3073  0.6927  0.5000
Ru  0.6500  0.3500  0.5000
O  0.3459  0.0375  0.6693
O  0.3524  0.4208  0.2966
O  0.5792  0.6476  0.7034
O  0.5988  0.0822  0.2499
O  0.9178  0.4012  0.7501
O  0.9625  0.6541  0.3307

Peak list (12 most intense, 2θ from 10° to 80°, low angle first)
two_theta, d/Å, Rel. int.
16.89, 5.249, 31
24.75, 3.598, 63
26.61, 3.350, 100
32.83, 2.728, 23
34.17, 2.624, 14
35.05, 2.560, 35
39.78, 2.266, 12
41.56, 2.173, 16
45.93, 1.976, 17
48.70, 1.870, 19
50.79, 1.798, 28
60.05, 1.541, 14

Nd6Sm2HoMg: calculated powder diffractogram (CuKα), based on a cell relaxed with GGA-PBE.
Lines closer than 0.1° are merged.

Lattice parameters (Å, degrees): 8.8472 8.8472 9.7213 94.49 94.49 116.32
Sites, in units of the cell vectors:
Nd  0.0015  0.5704  0.1943
Nd  0.1243  0.7584  0.5508
Nd  0.2416  0.8757  0.9492
Nd  0.2949  0.4969  0.3864
Nd  0.4296  0.9985  0.3057
Nd  0.4969  0.2949  0.8864
Nd  0.5031  0.7051  0.1136
Nd  0.5704  0.0015  0.6943
Nd  0.7051  0.5031  0.6136
Nd  0.7584  0.1243  0.0508
Nd  0.8757  0.2416  0.4492
Nd  0.9985  0.4296  0.8057
Sm  0.2010  0.2971  0.0505
Sm  0.2971  0.2010  0.5505
Sm  0.7029  0.7990  0.4495
Sm  0.7990  0.7029  0.9495
Ho  0.0185  0.9815  0.2500
Ho  0.9815  0.0185  0.7500
Mg  0.4082  0.5918  0.7500
Mg  0.5918  0.4082  0.2500

Peak list (12 most intense, 2θ from 10° to 80°, low angle first)
two_theta, d/Å, Rel. int.
27.42, 3.252, 20
28.44, 3.138, 44
29.74, 3.004, 50
30.32, 2.948, 38
31.18, 2.869, 100
31.29, 2.859, 36
32.26, 2.775, 21
32.69, 2.739, 16
33.40, 2.683, 31
37.73, 2.384, 17
58.90, 1.568, 11
59.50, 1.554, 15

Sm3Y13: calculated powder diffractogram (CuKα), based on a cell relaxed with GGA-PBE.
Lines closer than 0.1° are merged.

Lattice parameters (Å, degrees): 7.3268 8.5118 8.5118 83.88 90.00 90.00
Sites, in units of the cell vectors:
Sm  0.0000  0.0000  0.0000
Sm  0.2506  0.7489  0.7489
Sm  0.7494  0.7489  0.7489
Y  0.0000  0.4155  0.9168
Y  0.0000  0.4989  0.4989
Y  0.0000  0.9168  0.4155
Y  0.2502  0.1676  0.6654
Y  0.2500  0.2498  0.2498
Y  0.2502  0.6654  0.1676
Y  0.5000  0.0002  0.0002
Y  0.5000  0.4163  0.9179
Y  0.5000  0.4989  0.4989
Y  0.5000  0.9179  0.4163
Y  0.7498  0.1676  0.6654
Y  0.7500  0.2498  0.2498
Y  0.7498  0.6654  0.1676

Peak list (12 most intense, 2θ from 10° to 80°, low angle first)
two_theta, d/Å, Rel. int.
10.45, 8.463, 3
28.16, 3.169, 25
31.45, 2.844, 24
32.34, 2.769, 100
42.72, 2.117, 16
49.84, 1.830, 19
56.56, 1.627, 20
60.13, 1.539, 22
60.63, 1.527, 11
60.73, 1.525, 5
72.90, 1.298, 3
78.69, 1.216, 7

Ac6Tb3Pr2: calculated powder diffractogram (CuKα), based on a cell relaxed with GGA-PBE.
Lines closer than 0.1° are merged.

Lattice parameters (Å, degrees): 6.6328 6.6328 12.1607 95.02 95.02 119.84
Sites, in units of the cell vectors:
Ac  0.0868  0.4190  0.7515
Ac  0.2452  0.2452  0.2518
Ac  0.4190  0.0868  0.7515
Ac  0.5810  0.9132  0.2485
Ac  0.7548  0.7548  0.7482
Ac  0.9132  0.5810  0.2485
Tb  0.1657  0.8343  0.0000
Tb  0.5000  0.5000  0.0000
Tb  0.8343  0.1657  0.0000
Pr  0.3309  0.6691  0.5000
Pr  0.6691  0.3309  0.5000

Peak list (12 most intense, 2θ from 10° to 80°, low angle first)
two_theta, d/Å, Rel. int.
14.80, 5.987, 11
28.67, 3.113, 100
29.85, 2.994, 30
33.41, 2.682, 23
33.66, 2.663, 44
47.41, 1.918, 17
48.90, 1.863, 16
56.47, 1.629, 10
56.84, 1.620, 10
57.18, 1.611, 20
58.54, 1.577, 9
59.34, 1.557, 9

AcCe3Pt8: calculated powder diffractogram (CuKα), based on a cell relaxed with GGA-PBE.
Lines closer than 0.1° are merged.

Lattice parameters (Å, degrees): 5.5170 5.5170 9.1695 90.00 90.00 120.00
Sites, in units of the cell vectors:
Ac  0.0000  0.0000  0.0000
Ce  0.0000  0.0000  0.3807
Ce  0.6667  0.3333  0.4860
Ce  0.6667  0.3333  0.8557
Pt  0.1666  0.3332  0.6785
Pt  0.1666  0.8334  0.6785
Pt  0.3333  0.6667  0.4331
Pt  0.3333  0.6667  0.9324
Pt  0.5010  0.0020  0.1886
Pt  0.5010  0.4990  0.1886
Pt  0.6668  0.8334  0.6785
Pt  0.9980  0.4990  0.1886

Peak list (12 most intense, 2θ from 10° to 80°, low angle first)
two_theta, d/Å, Rel. int.
32.46, 2.759, 21
34.85, 2.575, 61
38.07, 2.364, 100
38.96, 2.312, 94
39.30, 2.292, 24
42.68, 2.119, 27
43.80, 2.067, 15
59.45, 1.555, 26
61.65, 1.504, 25
64.00, 1.455, 36
67.96, 1.379, 30
73.57, 1.287, 15

Ce3Zn3Au8: calculated powder diffractogram (CuKα), based on a cell relaxed with GGA-PBE.
Lines closer than 0.1° are merged.

Lattice parameters (Å, degrees): 8.4769 8.4769 9.0496 121.40 121.40 32.16
Sites, in units of the cell vectors:
Ce  0.0000  0.0000  0.0000
Ce  0.2922  0.2922  0.2793
Ce  0.7078  0.7078  0.7207
Zn  0.0000  0.0000  0.5000
Zn  0.3317  0.3317  0.6709
Zn  0.6683  0.6683  0.3291
Au  0.1322  0.1322  0.8402
Au  0.1381  0.1381  0.4267
Au  0.3477  0.3477  0.9671
Au  0.4950  0.4950  0.6675
Au  0.5050  0.5050  0.3325
Au  0.6523  0.6523  0.0329
Au  0.8619  0.8619  0.5733
Au  0.8678  0.8678  0.1598

Peak list (12 most intense, 2θ from 10° to 80°, low angle first)
two_theta, d/Å, Rel. int.
30.24, 2.955, 21
33.07, 2.709, 17
33.62, 2.666, 41
33.77, 2.654, 45
34.00, 2.637, 100
35.38, 2.537, 36
37.64, 2.390, 38
38.03, 2.366, 33
38.33, 2.348, 75
39.50, 2.281, 27
44.74, 2.026, 27
56.22, 1.636, 19

Ce3PI7: calculated powder diffractogram (CuKα), based on a cell relaxed with GGA-PBE.
Lines closer than 0.1° are merged.

Lattice parameters (Å, degrees): 8.9932 8.9932 7.4275 90.00 90.00 120.00
Sites, in units of the cell vectors:
Ce  0.1770  0.3540  0.0000
Ce  0.1770  0.8230  0.0000
Ce  0.6460  0.8230  0.0000
P  0.3333  0.6667  0.1549
I  0.0000  0.0000  0.7520
I  0.0025  0.5013  0.7474
I  0.3272  0.1636  0.2290
I  0.4987  0.5013  0.7474
I  0.4987  0.9975  0.7474
I  0.8364  0.1636  0.2290
I  0.8364  0.6728  0.2290

Peak list (12 most intense, 2θ from 10° to 80°, low angle first)
two_theta, d/Å, Rel. int.
11.92, 7.427, 32
16.49, 5.375, 12
25.83, 3.449, 100
33.34, 2.688, 50
40.11, 2.248, 34
43.31, 2.089, 26
48.32, 1.883, 17
53.11, 1.724, 13
64.55, 1.444, 14
65.16, 1.432, 14
68.58, 1.368, 11
75.08, 1.265, 10

NaP2BrCl: calculated powder diffractogram (CuKα), based on a cell relaxed with GGA-PBE.
Lines closer than 0.1° are merged.

Lattice parameters (Å, degrees): 4.7366 4.7366 7.3430 90.00 90.00 90.00
Sites, in units of the cell vectors:
Na  0.0000  0.0000  0.0000
P  0.0000  0.5000  0.5000
P  0.5000  0.0000  0.5000
Br  0.5000  0.5000  0.5000
Cl  0.5000  0.5000  0.0000

Peak list (12 most intense, 2θ from 10° to 80°, low angle first)
two_theta, d/Å, Rel. int.
12.05, 7.343, 86
18.73, 4.737, 79
22.34, 3.980, 54
24.24, 3.671, 100
26.61, 3.349, 23
30.81, 2.902, 43
36.31, 2.474, 21
37.99, 2.368, 56
45.58, 1.990, 65
49.68, 1.835, 33
60.79, 1.524, 26
64.20, 1.451, 27

PrDyLuSc: calculated powder diffractogram (CuKα), based on a cell relaxed with GGA-PBE.
Lines closer than 0.1° are merged.

Lattice parameters (Å, degrees): 7.8632 7.8632 7.8632 90.00 90.00 90.00
Sites, in units of the cell vectors:
Pr  0.0000  0.0000  0.0000
Pr  0.0000  0.5000  0.5000
Pr  0.5000  0.0000  0.5000
Pr  0.5000  0.5000  0.0000
Dy  0.0000  0.0000  0.5000
Dy  0.0000  0.5000  0.0000
Dy  0.5000  0.0000  0.0000
Dy  0.5000  0.5000  0.5000
Lu  0.2500  0.2500  0.7500
Lu  0.2500  0.7500  0.2500
Lu  0.7500  0.2500  0.2500
Lu  0.7500  0.7500  0.7500
Sc  0.2500  0.2500  0.2500
Sc  0.2500  0.7500  0.7500
Sc  0.7500  0.2500  0.7500
Sc  0.7500  0.7500  0.2500

Peak list (12 most intense, 2θ from 10° to 80°, low angle first)
two_theta, d/Å, Rel. int.
19.55, 4.540, 14
22.62, 3.932, 3
32.20, 2.780, 100
37.95, 2.371, 8
46.18, 1.966, 18
50.60, 1.804, 4
52.01, 1.758, 1
57.41, 1.605, 38
61.25, 1.513, 3
67.37, 1.390, 12
70.90, 1.329, 3
76.64, 1.243, 16

Cs2HoInO4: calculated powder diffractogram (CuKα), based on a cell relaxed with GGA-PBE.
Lines closer than 0.1° are merged.

Lattice parameters (Å, degrees): 13.1019 11.5946 7.3809 84.21 61.70 34.09
Sites, in units of the cell vectors:
Cs  0.0566  0.0566  0.6934
Cs  0.3066  0.3066  0.9434
Cs  0.6934  0.6934  0.0566
Cs  0.9434  0.9434  0.3066
Ho  0.1250  0.1250  0.1250
Ho  0.8750  0.8750  0.8750
In  0.3750  0.3750  0.3750
In  0.6250  0.6250  0.6250
O  0.0042  0.3327  0.4220
O  0.2588  0.5780  0.6673
O  0.3327  0.0042  0.7412
O  0.4220  0.7412  0.0042
O  0.5780  0.2588  0.9958
O  0.6673  0.9958  0.2588
O  0.7412  0.4220  0.3327
O  0.9958  0.6673  0.5780

Peak list (12 most intense, 2θ from 10° to 80°, low angle first)
two_theta, d/Å, Rel. int.
15.28, 5.797, 30
15.80, 5.608, 56
16.92, 5.240, 25
20.31, 4.372, 26
26.32, 3.386, 55
27.25, 3.273, 100
27.63, 3.229, 26
31.99, 2.798, 29
33.25, 2.695, 62
39.00, 2.310, 39
47.67, 1.908, 51
51.03, 1.790, 27

MgCr2PbCl8: calculated powder diffractogram (CuKα), based on a cell relaxed with GGA-PBE.
Lines closer than 0.1° are merged.

Lattice parameters (Å, degrees): 5.9538 6.0799 8.5497 84.46 84.05 85.57
Sites, in units of the cell vectors:
Mg  0.0000  0.0000  0.0000
Cr  0.4969  0.4962  0.2216
Cr  0.5031  0.5038  0.7784
Pb  0.0000  0.0000  0.5000
Cl  0.2215  0.8068  0.2167
Cl  0.2384  0.8240  0.7767
Cl  0.2725  0.3181  0.9866
Cl  0.3027  0.3448  0.4578
Cl  0.6973  0.6552  0.5422
Cl  0.7275  0.6819  0.0134
Cl  0.7616  0.1760  0.2233
Cl  0.7785  0.1932  0.7833

Peak list (12 most intense, 2θ from 10° to 80°, low angle first)
two_theta, d/Å, Rel. int.
10.44, 8.470, 43
17.26, 5.138, 34
17.45, 5.082, 36
20.30, 4.374, 100
21.75, 4.086, 76
24.13, 3.688, 30
24.62, 3.616, 77
30.29, 2.950, 35
30.51, 2.930, 49
32.37, 2.766, 36
36.81, 2.442, 34
42.71, 2.117, 30

Rb5Tm2F12: calculated powder diffractogram (CuKα), based on a cell relaxed with GGA-PBE.
Lines closer than 0.1° are merged.

Lattice parameters (Å, degrees): 8.0144 8.0144 6.8194 97.23 97.23 62.27
Sites, in units of the cell vectors:
Rb  0.0000  0.0000  0.0000
Rb  0.2400  0.2400  0.4633
Rb  0.3610  0.3610  0.9750
Rb  0.6390  0.6390  0.0250
Rb  0.7600  0.7600  0.5367
Tm  0.2704  0.7296  0.5000
Tm  0.7296  0.2704  0.5000
F  0.0577  0.0577  0.6105
F  0.1120  0.6973  0.7192
F  0.1564  0.5737  0.2877
F  0.3027  0.8880  0.2808
F  0.4263  0.8436  0.7123
F  0.4633  0.4633  0.6545
F  0.5367  0.5367  0.3455
F  0.5737  0.1564  0.2877
F  0.6973  0.1120  0.7192
F  0.8436  0.4263  0.7123
F  0.8880  0.3027  0.2808
F  0.9423  0.9423  0.3895

Peak list (12 most intense, 2θ from 10° to 80°, low angle first)
two_theta, d/Å, Rel. int.
13.09, 6.764, 100
25.20, 3.534, 64
26.43, 3.373, 32
27.54, 3.238, 73
27.64, 3.227, 21
29.40, 3.038, 32
31.20, 2.867, 23
38.23, 2.354, 22
43.69, 2.072, 19
45.95, 1.975, 24
46.16, 1.967, 22
49.50, 1.841, 16